Starting from a DFT-relaxed cell (PBE, Alexandria), the X-ray diffraction stick pattern of Sr6Au7 was calculated for CuKα.
Neutral-atom scattering factors, no anomalous dispersion.

Structural model:
```
13
Lattice="3.346 1.932 10.482 -3.346 1.932 10.482 0.000 -3.864 10.482" Properties=species:S:1:pos:R:3 pbc="T T T"
Sr 0.000 0.000 2.072
Sr 0.000 0.000 5.890
Sr 0.000 0.000 10.146
Sr 0.000 0.000 21.301
Sr 0.000 0.000 25.557
Sr 0.000 0.000 29.374
Au -1.419 -0.820 13.041
Au 0.000 -1.639 18.406
Au -1.419 0.820 18.406
Au 0.000 0.000 15.723
Au 1.419 -0.820 13.041
Au 0.000 1.639 13.041
Au 1.419 0.820 18.406
```

Most intense lines, 10° ≤ 2θ ≤ 80°, in order of rising 2θ:
d_spacing	Rel. int.
5.700	100.0
5.241	72.0
2.886	57.9
2.820	59.9
2.632	75.7
2.621	45.7
2.435	93.5
2.333	36.7
2.110	30.8
1.673	37.6